# Ca5Sn3Br16
Computed X-ray powder pattern, Cu Kα X-rays. Input: a crystal structure in Alexandria, relaxed with GGA-PBE.
Peak positions follow from Bragg's law for the DFT cell and can differ from measured ones.

Structural model:
a b c (Å): 8.7110 8.7110 13.3986
angles (deg): 90.18 90.18 59.67
Fractional coordinates of all 24 atoms:
Ca (0.0000, 0.0000, 0.0000)
Ca (0.3367, 0.8319, 0.5011)
Ca (0.5030, 0.5030, 0.2333)
Ca (0.8319, 0.3367, 0.5011)
Ca (0.8353, 0.8353, 0.7303)
Sn (0.9997, 0.5061, 0.9997)
Sn (0.3377, 0.3377, 0.4992)
Sn (0.5061, 0.9997, 0.9997)
Br (0.0002, 0.0002, 0.6141)
Br (0.1383, 0.6851, 0.8694)
Br (0.1622, 0.1622, 0.8826)
Br (0.1634, 0.1634, 0.3875)
Br (0.1974, 0.6581, 0.3710)
Br (0.3280, 0.8319, 0.1174)
Br (0.3359, 0.3359, 0.1246)
Br (0.5013, 0.9929, 0.6192)
Br (0.5054, 0.5054, 0.6201)
Br (0.6523, 0.6523, 0.3731)
Br (0.6581, 0.1974, 0.3710)
Br (0.6819, 0.6819, 0.8652)
Br (0.6851, 0.1383, 0.8694)
Br (0.8319, 0.3280, 0.1174)
Br (0.8410, 0.8410, 0.1226)
Br (0.9929, 0.5013, 0.6192)

The 6 most intense peaks (2θ from 5° to 70°), low angle first:
13.49 deg, I = 38
27.09 deg, I = 49
27.20 deg, I = 100
31.09 deg, I = 71
41.38 deg, I = 40
41.47 deg, I = 51